FeTe2: theoretical X-ray diffraction stick pattern (a wavelength of 1.5418 Å), based on the PBE geometry in the Materials Project.
Intensities are scaled so that the largest is 100.

Principal peaks in the range 10 to 90 degrees two-theta, sorted by position:
Position (°2θ)  I_rel
26.96  22
28.51  17
31.96  100
33.32  74
34.09  19
43.99  52
46.63  23
49.56  30
58.50  29
59.69  14

Cell and atoms:
```
FeTe2
1.0
5.2600 0.0000 0.0000
0.0000 6.2587 0.0000
0.0000 0.0000 3.8960
Fe Te
2 4
Direct
0.0000 0.0000 0.0000
0.5000 0.5000 0.5000
0.2276 0.3614 0.0000
0.2724 0.8614 0.5000
0.7276 0.1386 0.5000
0.7724 0.6386 0.0000
```



Mg6CoNi: theoretical X-ray diffraction stick pattern (a wavelength of 1.5418 Å), based on the PBE geometry in the Materials Project.
Intensities are scaled so that the largest is 100.

Principal peaks in the range 10 to 90 degrees two-theta, sorted by position:
Position (°2θ)  I_rel
17.56  24
19.14  16
34.48  30
38.83  35
39.73  100
40.68  47
52.89  17
63.16  15
70.91  16
76.68  16

Cell and atoms:
```
Mg6CoNi
1.0
4.6380 0.0000 0.0000
0.0000 3.0347 5.0500
0.0000 -3.0347 5.0500
Mg Co Ni
6 1 1
Direct
0.0000 0.0000 0.0000
0.0000 0.4825 0.9849
0.0000 0.4995 0.4995
0.0000 0.9849 0.4825
0.5000 0.1585 0.6597
0.5000 0.6597 0.1585
0.5000 0.1570 0.1570
0.5000 0.6573 0.6573
```